(1)
Starting from a structure optimized by DFT (GGA-PBE), the powder X-ray diffraction pattern of Tb2Nd4Y5 was simulated for copper Kα.

Crystal structure
```
Tb2Nd4Y5
1.0
12.009 -1.765 0.000
12.009 1.765 0.000
-1.390 0.000 8.899
Tb Nd Y
2 4 5
Direct
0.101 0.101 0.200
0.899 0.899 0.800
0.027 0.027 0.688
0.370 0.370 0.463
0.630 0.630 0.537
0.973 0.973 0.312
0.176 0.176 0.902
0.232 0.232 0.324
0.500 0.500 0.000
0.768 0.768 0.676
0.824 0.824 0.098
```

The 6 most intense peaks (2θ from 10° to 90°), low angle first:
26.8°, I 30
30.1°, I 52
30.3°, I 58
31.6°, I 54
32.2°, I 100
39.3°, I 44


(2)
Starting from a structure optimized by DFT (GGA-PBE), the powder X-ray diffraction pattern of Nd6Si2Pt was simulated for copper Kα.

Crystal structure
```
Nd6Si2Pt
1.0
6.438 0.000 0.000
0.000 8.128 0.000
-6.363 0.000 10.136
Nd Si Pt
12 4 2
Direct
0.066 0.179 0.435
0.066 0.321 0.935
0.292 0.669 0.442
0.292 0.831 0.942
0.377 0.040 0.238
0.377 0.460 0.738
0.623 0.540 0.262
0.623 0.960 0.762
0.708 0.169 0.058
0.708 0.331 0.558
0.934 0.679 0.065
0.934 0.821 0.565
0.176 0.118 0.752
0.176 0.382 0.252
0.824 0.618 0.748
0.824 0.882 0.248
0.500 0.000 0.500
0.500 0.500 0.000
```

The 6 most intense peaks (2θ from 10° to 90°), low angle first:
17.5°, I 59
27.4°, I 88
29.8°, I 98
30.0°, I 97
31.1°, I 100
36.0°, I 87


(3)
Starting from a structure optimized by DFT (GGA-PBE), the powder X-ray diffraction pattern of Rb5S was simulated for copper Kα.

Crystal structure
```
Rb5S
1.0
13.505 0.000 0.000
0.000 4.834 0.000
0.000 0.000 11.947
Rb S
10 2
Direct
0.000 0.000 0.000
0.107 0.500 0.291
0.250 0.000 0.631
0.250 0.500 0.986
0.393 0.500 0.291
0.500 0.000 0.000
0.607 0.500 0.709
0.750 0.000 0.369
0.750 0.500 0.014
0.893 0.500 0.709
0.250 0.000 0.169
0.750 0.000 0.831
```

The 6 most intense peaks (2θ from 10° to 90°), low angle first:
20.9°, I 45
21.1°, I 49
22.3°, I 61
23.8°, I 100
24.6°, I 62
27.2°, I 76


(4)
Starting from a structure optimized by DFT (GGA-PBE), the powder X-ray diffraction pattern of PmY6Se8 was simulated for copper Kα.

Crystal structure
```
PmY6Se8
1.0
0.000 5.767 5.767
5.767 0.000 5.767
5.767 5.767 0.000
Pm Y Se
1 6 8
Direct
0.000 0.000 0.000
0.000 0.000 0.500
0.000 0.500 0.000
0.000 0.500 0.500
0.500 0.000 0.000
0.500 0.000 0.500
0.500 0.500 0.000
0.250 0.250 0.250
0.258 0.258 0.742
0.258 0.742 0.258
0.258 0.742 0.742
0.742 0.258 0.258
0.742 0.258 0.742
0.742 0.742 0.258
0.750 0.750 0.750
```

The 6 most intense peaks (2θ from 10° to 90°), low angle first:
31.0°, I 100
44.4°, I 72
55.2°, I 25
64.7°, I 11
73.4°, I 31
81.8°, I 23


(5)
Starting from a structure optimized by DFT (GGA-PBE), the powder X-ray diffraction pattern of Li2Tm3In5 was simulated for copper Kα.

Crystal structure
```
Li2Tm3In5
1.0
10.246 0.000 0.000
0.000 10.246 0.000
0.000 0.000 4.370
Li Tm In
4 6 10
Direct
0.120 0.380 0.000
0.380 0.880 0.000
0.620 0.120 0.000
0.880 0.620 0.000
0.000 0.000 0.000
0.174 0.674 0.000
0.326 0.174 0.000
0.500 0.500 0.000
0.674 0.826 0.000
0.826 0.326 0.000
0.000 0.500 0.500
0.075 0.210 0.500
0.210 0.925 0.500
0.290 0.425 0.500
0.425 0.710 0.500
0.500 0.000 0.500
0.575 0.290 0.500
0.710 0.575 0.500
0.790 0.075 0.500
0.925 0.790 0.500
```

The 6 most intense peaks (2θ from 10° to 90°), low angle first:
28.2°, I 69
32.1°, I 30
34.5°, I 100
36.1°, I 46
41.3°, I 28
56.0°, I 26


(6)
Starting from a structure optimized by DFT (GGA-PBE), the powder X-ray diffraction pattern of Pm6Y16Ho7 was simulated for copper Kα.

Crystal structure
```
Pm6Y16Ho7
1.0
0.000 7.927 7.927
7.927 0.000 7.927
7.927 7.927 0.000
Pm Y Ho
6 16 7
Direct
0.218 0.218 0.782
0.218 0.782 0.218
0.218 0.782 0.782
0.782 0.218 0.218
0.782 0.218 0.782
0.782 0.782 0.218
0.134 0.622 0.622
0.154 0.154 0.154
0.154 0.154 0.538
0.154 0.538 0.154
0.378 0.378 0.378
0.378 0.378 0.866
0.378 0.866 0.378
0.462 0.846 0.846
0.538 0.154 0.154
0.622 0.134 0.622
0.622 0.622 0.134
0.622 0.622 0.622
0.846 0.462 0.846
0.846 0.846 0.462
0.846 0.846 0.846
0.866 0.378 0.378
0.000 0.000 0.500
0.000 0.500 0.000
0.000 0.500 0.500
0.500 0.000 0.000
0.500 0.000 0.500
0.500 0.500 0.000
0.500 0.500 0.500
```

The 6 most intense peaks (2θ from 10° to 90°), low angle first:
27.6°, I 11
29.3°, I 19
31.9°, I 100
43.9°, I 11
45.8°, I 13
56.9°, I 23


(7)
Starting from a structure optimized by DFT (GGA-PBE), the powder X-ray diffraction pattern of Si23B3 was simulated for copper Kα.

Crystal structure
```
Si23B3
1.0
10.142 0.000 0.000
0.000 10.142 0.000
0.000 0.000 10.142
Si B
46 6
Direct
0.000 0.116 0.310
0.000 0.116 0.690
0.000 0.250 0.500
0.000 0.750 0.500
0.000 0.884 0.310
0.000 0.884 0.690
0.116 0.310 0.000
0.116 0.690 0.000
0.184 0.184 0.184
0.184 0.184 0.816
0.184 0.816 0.184
0.184 0.816 0.816
0.190 0.384 0.500
0.190 0.616 0.500
0.250 0.500 0.000
0.310 0.000 0.116
0.310 0.000 0.884
0.316 0.316 0.316
0.316 0.316 0.684
0.316 0.684 0.316
0.316 0.684 0.684
0.384 0.500 0.190
0.384 0.500 0.810
0.500 0.000 0.250
0.500 0.000 0.750
0.500 0.190 0.384
0.500 0.190 0.616
0.500 0.810 0.384
0.500 0.810 0.616
0.616 0.500 0.190
0.616 0.500 0.810
0.684 0.316 0.316
0.684 0.316 0.684
0.684 0.684 0.316
0.684 0.684 0.684
0.690 0.000 0.116
0.690 0.000 0.884
0.750 0.500 0.000
0.810 0.384 0.500
0.810 0.616 0.500
0.816 0.184 0.184
0.816 0.184 0.816
0.816 0.816 0.184
0.816 0.816 0.816
0.884 0.310 0.000
0.884 0.690 0.000
0.000 0.500 0.250
0.000 0.500 0.750
0.250 0.000 0.500
0.500 0.250 0.000
0.500 0.750 0.000
0.750 0.000 0.500
```

The 6 most intense peaks (2θ from 10° to 90°), low angle first:
19.6°, I 71
21.5°, I 59
30.5°, I 45
33.0°, I 100
52.6°, I 93
55.9°, I 50


(8)
Starting from a structure optimized by DFT (GGA-PBE), the powder X-ray diffraction pattern of Er2Al6Au21 was simulated for copper Kα.

Crystal structure
```
Er2Al6Au21
1.0
0.000 6.486 6.486
6.486 0.000 6.486
6.486 6.486 0.000
Er Al Au
2 6 21
Direct
0.250 0.250 0.250
0.750 0.750 0.750
0.230 0.230 0.770
0.230 0.770 0.230
0.230 0.770 0.770
0.770 0.230 0.230
0.770 0.230 0.770
0.770 0.770 0.230
0.121 0.121 0.121
0.121 0.121 0.638
0.121 0.638 0.121
0.157 0.500 0.500
0.157 0.500 0.843
0.157 0.843 0.500
0.362 0.879 0.879
0.500 0.157 0.500
0.500 0.157 0.843
0.500 0.500 0.157
0.500 0.500 0.500
0.500 0.500 0.843
0.500 0.843 0.157
0.500 0.843 0.500
0.638 0.121 0.121
0.843 0.157 0.500
0.843 0.500 0.157
0.843 0.500 0.500
0.879 0.362 0.879
0.879 0.879 0.362
0.879 0.879 0.879
```

The 6 most intense peaks (2θ from 10° to 90°), low angle first:
33.9°, I 25
36.0°, I 100
39.3°, I 23
41.2°, I 29
60.6°, I 25
71.2°, I 20


What did the third record say?
Starting from a structure optimized by DFT (GGA-PBE), the powder X-ray diffraction pattern of Rb5S was simulated for copper Kα.

Crystal structure
```
Rb5S
1.0
13.505 0.000 0.000
0.000 4.834 0.000
0.000 0.000 11.947
Rb S
10 2
Direct
0.000 0.000 0.000
0.107 0.500 0.291
0.250 0.000 0.631
0.250 0.500 0.986
0.393 0.500 0.291
0.500 0.000 0.000
0.607 0.500 0.709
0.750 0.000 0.369
0.750 0.500 0.014
0.893 0.500 0.709
0.250 0.000 0.169
0.750 0.000 0.831
```

The 6 most intense peaks (2θ from 10° to 90°), low angle first:
20.9°, I 45
21.1°, I 49
22.3°, I 61
23.8°, I 100
24.6°, I 62
27.2°, I 76


Please write out number 4 again, unchanged.
Starting from a structure optimized by DFT (GGA-PBE), the powder X-ray diffraction pattern of PmY6Se8 was simulated for copper Kα.

Crystal structure
```
PmY6Se8
1.0
0.000 5.767 5.767
5.767 0.000 5.767
5.767 5.767 0.000
Pm Y Se
1 6 8
Direct
0.000 0.000 0.000
0.000 0.000 0.500
0.000 0.500 0.000
0.000 0.500 0.500
0.500 0.000 0.000
0.500 0.000 0.500
0.500 0.500 0.000
0.250 0.250 0.250
0.258 0.258 0.742
0.258 0.742 0.258
0.258 0.742 0.742
0.742 0.258 0.258
0.742 0.258 0.742
0.742 0.742 0.258
0.750 0.750 0.750
```

The 6 most intense peaks (2θ from 10° to 90°), low angle first:
31.0°, I 100
44.4°, I 72
55.2°, I 25
64.7°, I 11
73.4°, I 31
81.8°, I 23